Diffraction record for Na4Ge2IrAu. The PXRD pattern is theoretical, not measured: it uses a crystal structure in OQMD, relaxed with PBE and a wavelength of 1.5418 Å.

Top 10 peaks for 2θ from 10° to 90°, by angle:
| d_spacing | 2theta | I (rel.) |
| --- | --- | --- |
| 3.873 | 22.97 | 100 |
| 3.330 | 26.77 | 15 |
| 2.380 | 37.80 | 86 |
| 2.355 | 38.22 | 45 |
| 2.044 | 44.32 | 17 |
| 2.012 | 45.06 | 35 |
| 1.665 | 55.17 | 15 |
| 1.543 | 59.93 | 15 |
| 1.379 | 67.98 | 12 |
| 1.364 | 68.82 | 29 |

a = 4.7092 Å, b = 4.7092 Å, c = 6.8058 Å
α = 90.00°, β = 90.00°, γ = 90.00°
Positions (direct):
Na  0.0000  0.0000  0.0000
Na  0.0000  0.5000  0.7441
Na  0.5000  0.0000  0.2559
Na  0.5000  0.5000  0.5000
Ge  0.0000  0.5000  0.2031
Ge  0.5000  0.0000  0.7969
Ir  0.5000  0.5000  0.0000
Au  0.0000  0.0000  0.5000

***

Diffraction record for KGe3Au3. The PXRD pattern is theoretical, not measured: it uses a crystal structure in OQMD, relaxed with PBE and a wavelength of 1.5418 Å.

Top 10 peaks for 2θ from 10° to 90°, by angle:
| d_spacing | 2theta | I (rel.) |
| --- | --- | --- |
| 5.620 | 15.77 | 44 |
| 4.466 | 19.88 | 31 |
| 3.352 | 26.60 | 48 |
| 3.227 | 27.64 | 33 |
| 2.753 | 32.52 | 48 |
| 2.723 | 32.89 | 98 |
| 2.335 | 38.56 | 60 |
| 2.142 | 42.19 | 48 |
| 2.062 | 43.91 | 100 |
| 1.781 | 51.31 | 26 |

a = 4.6696 Å, b = 7.2317 Å, c = 8.9314 Å
α = 90.00°, β = 90.00°, γ = 90.00°
Positions (direct):
K  0.2500  0.2500  0.2471
K  0.7500  0.7500  0.7529
Ge  0.2500  0.0578  0.8837
Ge  0.2500  0.4422  0.8837
Ge  0.2500  0.7500  0.3902
Ge  0.7500  0.2500  0.6098
Ge  0.7500  0.5578  0.1163
Ge  0.7500  0.9422  0.1163
Au  0.2500  0.0356  0.5917
Au  0.2500  0.4644  0.5917
Au  0.2500  0.7500  0.0713
Au  0.7500  0.2500  0.9287
Au  0.7500  0.5356  0.4083
Au  0.7500  0.9644  0.4083

***

Diffraction record for KGeAu3. The PXRD pattern is theoretical, not measured: it uses a crystal structure in OQMD, relaxed with PBE and a wavelength of 1.5418 Å.

Top 10 peaks for 2θ from 10° to 90°, by angle:
| d_spacing | 2theta | I (rel.) |
| --- | --- | --- |
| 5.059 | 17.53 | 89 |
| 4.761 | 18.64 | 30 |
| 2.886 | 30.99 | 100 |
| 2.835 | 31.56 | 75 |
| 2.530 | 35.49 | 67 |
| 2.380 | 37.79 | 50 |
| 2.235 | 40.35 | 55 |
| 2.062 | 43.90 | 33 |
| 2.025 | 44.75 | 46 |
| 1.734 | 52.81 | 43 |

a = 4.7607 Å, b = 5.0611 Å, c = 5.0611 Å
α = 88.41°, β = 90.00°, γ = 90.00°
Positions (direct):
K  0.0000  0.0000  0.0000
Ge  0.5000  0.6201  0.6201
Au  0.0000  0.4779  0.4779
Au  0.5000  0.1027  0.5050
Au  0.5000  0.5050  0.1027

***

Diffraction record for K2GeAu2S4. The PXRD pattern is theoretical, not measured: it uses a crystal structure in OQMD, relaxed with PBE and a wavelength of 1.5418 Å.

Top 10 peaks for 2θ from 10° to 90°, by angle:
| d_spacing | 2theta | I (rel.) |
| --- | --- | --- |
| 7.544 | 11.73 | 30 |
| 6.401 | 13.84 | 100 |
| 4.106 | 21.64 | 25 |
| 3.557 | 25.04 | 20 |
| 3.472 | 25.66 | 25 |
| 3.361 | 26.52 | 23 |
| 3.002 | 29.76 | 34 |
| 2.715 | 32.99 | 23 |
| 2.659 | 33.71 | 29 |
| 2.631 | 34.08 | 52 |

a = 8.4974 Å, b = 8.4974 Å, c = 9.1941 Å
α = 101.04°, β = 101.04°, γ = 125.19°
Positions (direct):
K  0.0568  0.9432  0.7500
K  0.3606  0.6394  0.7500
K  0.6394  0.3606  0.2500
K  0.9432  0.0568  0.2500
Ge  0.3631  0.6369  0.2500
Ge  0.6369  0.3631  0.7500
Au  0.0968  0.7695  0.0462
Au  0.2305  0.9032  0.4538
Au  0.7695  0.0968  0.5462
Au  0.9032  0.2305  0.9538
S  0.1382  0.5749  0.3713
S  0.2334  0.3306  0.0682
S  0.3306  0.2334  0.5682
S  0.4251  0.8618  0.1287
S  0.5749  0.1382  0.8713
S  0.6694  0.7666  0.4318
S  0.7666  0.6694  0.9318
S  0.8618  0.4251  0.6287